Li3FeIrO5: theoretical powder diffractogram (λ = 1.5418 Å (Cu Kα)), based on the PBE+U geometry in Alexandria.

Cell and atoms:
```
data_Li3FeIrO5
_chemical_formula_sum 'Li6 Fe2 Ir2 O10'
_cell_length_a 5.181
_cell_length_b 5.986
_cell_length_c 6.708
_cell_angle_alpha 103.92
_cell_angle_beta 97.49
_cell_angle_gamma 107.04
_space_group_name_H-M_alt 'P -1'
_space_group_IT_number 2
loop_
_space_group_symop_operation_xyz
'x,y,z'
'-x,-y,-z'
loop_
_atom_site_label
_atom_site_fract_x
_atom_site_fract_y
_atom_site_fract_z
Li1 0.000 0.000 0.000
Li2 0.000 0.500 0.000
Li3 0.195 0.402 0.402
Li4 0.381 0.800 0.813
Fe1 0.195 0.889 0.387
Ir1 0.404 0.309 0.809
O1 0.101 0.438 0.700
O2 0.108 0.968 0.694
O3 0.306 0.351 0.098
O4 0.306 0.848 0.112
O5 0.494 0.241 0.517
```

Most intense lines, 10° ≤ 2θ ≤ 90°, low angle first:
| 2theta | d (Å) | Rel. int. | hkl |
| --- | --- | --- | --- |
| 18.02 | 4.923 | 100 | 0 1 -1 |
| 18.34 | 4.836 | 28 | 1 0 0 |
| 19.99 | 4.442 | 23 | 1 -1 0 |
| 20.53 | 4.327 | 21 | 1 0 -1 |
| 42.59 | 2.123 | 25 | 2 -2 1 |
| 42.73 | 2.116 | 23 | 1 0 -3 |